This entry pairs a crystal structure of In2Ni3 with its calculated powder X-ray diffraction pattern. Radiation: Cu Kα (weighted mean of Kα1 and Kα2). Structure: a DFT-relaxed cell (PBE, Alexandria).

Structure:
abc: 5.323 5.323 5.323
angles: 47.16 47.16 47.16
Fractional coordinates of all 5 atoms:
In  0.101  0.101  0.101
In  0.899  0.899  0.899
Ni  0.312  0.312  0.312
Ni  0.500  0.500  0.500
Ni  0.688  0.688  0.688

Main lines, sorted by position (5 to 70 degrees two-theta):
24.94°, d = 3.570 Å, intensity 11
27.26°, d = 3.272 Å, intensity 3
35.13°, d = 2.554 Å, intensity 12
40.14°, d = 2.247 Å, intensity 100
42.45°, d = 2.130 Å, intensity 88
49.86°, d = 1.829 Å, intensity 2
51.51°, d = 1.774 Å, intensity 2
56.24°, d = 1.636 Å, intensity 3
58.66°, d = 1.574 Å, intensity 2
59.84°, d = 1.546 Å, intensity 29

---

This entry pairs a crystal structure of La4Tm5Th2 with its calculated powder X-ray diffraction pattern. Radiation: Cu Kα (weighted mean of Kα1 and Kα2). Structure: a DFT-relaxed cell (PBE, Alexandria).

Structure:
abc: 3.603 8.788 11.884
angles: 76.57 81.29 90.00
Fractional coordinates of all 11 atoms:
La  0.085  0.214  0.328
La  0.270  0.678  0.959
La  0.730  0.322  0.041
La  0.915  0.786  0.672
Tm  0.000  0.500  0.500
Tm  0.180  0.947  0.140
Tm  0.365  0.404  0.770
Tm  0.635  0.596  0.230
Tm  0.820  0.053  0.860
Th  0.455  0.140  0.593
Th  0.545  0.860  0.407

Main lines, sorted by position (5 to 70 degrees two-theta):
30.34°, d = 2.946 Å, intensity 100
30.56°, d = 2.925 Å, intensity 98
35.07°, d = 2.559 Å, intensity 34
35.42°, d = 2.534 Å, intensity 67
50.66°, d = 1.802 Å, intensity 36
50.76°, d = 1.799 Å, intensity 24
60.02°, d = 1.541 Å, intensity 21
60.34°, d = 1.534 Å, intensity 29
60.71°, d = 1.526 Å, intensity 21
63.12°, d = 1.473 Å, intensity 12